(1)
The following is a theoretical powder diffractogram of Cu2PO5. It was derived from the PBE geometry in the Materials Project, using Cu Kα (λ = 1.5418 Å).
Peak positions follow from Bragg's law for the DFT cell and can differ from measured ones.

Largest 10 diffraction maxima, by intensity, 2θ from 15° to 90°:
- d = 2.786 Å, intensity 100, (2 0 -2)
- d = 2.520 Å, intensity 93, (0 2 2)
- d = 5.572 Å, intensity 90, (1 0 -1)
- d = 2.714 Å, intensity 57, (1 2 1)
- d = 2.367 Å, intensity 37, (2 2 0)
- d = 1.594 Å, intensity 32, (2 2 -4)
- d = 2.672 Å, intensity 26, (1 0 3)
- d = 1.592 Å, intensity 22, (2 2 4)
- d = 1.553 Å, intensity 19, (0 4 0)
- d = 1.357 Å, intensity 18, (2 4 -2)

a b c (Å): 7.3089 6.2147 8.6118
angles (deg): 90.00 90.10 90.00
Space group Pm (No. 6)
Symmetry-distinct sites (fractional):
Cu: 0.0000 0.0000 0.0000 x1
Cu: 0.0629 0.5000 0.4998 x1
Cu: 0.2825 0.2655 0.2283 x2
Cu: 0.4986 0.5000 0.9578 x1
Cu: 0.5640 0.0000 0.4618 x1
Cu: 0.7819 0.2338 0.7287 x2
P: 0.0797 0.5000 0.9787 x1
P: 0.4825 0.5000 0.4789 x1
P: 0.5808 0.0000 0.9787 x1
P: 0.9827 0.0000 0.4785 x1
O: 0.0757 0.2988 0.0925 x2
O: 0.1476 0.0000 0.3678 x1
O: 0.1653 0.0000 0.8562 x1
O: 0.2577 0.5000 0.8859 x1
O: 0.3038 0.5000 0.5706 x1
O: 0.3968 0.0000 0.6037 x1
O: 0.4151 0.0000 0.0888 x1
O: 0.4875 0.2983 0.3657 x2
O: 0.5760 0.2014 0.8650 x2
O: 0.6477 0.5000 0.5900 x1
O: 0.6653 0.5000 0.1011 x1
O: 0.7593 0.0000 0.0711 x1
O: 0.8032 0.0000 0.3871 x1
O: 0.8945 0.5000 0.3579 x1
O: 0.9134 0.5000 0.8688 x1
O: 0.9878 0.2012 0.5923 x2


(2)
The following is a theoretical powder diffractogram of Cu3P4O14. It was derived from the PBE geometry in the Materials Project, using Cu Kα (λ = 1.5418 Å).
Peak positions follow from Bragg's law for the DFT cell and can differ from measured ones.

Largest 10 diffraction maxima, by intensity, 2θ from 15° to 90°:
- d = 3.216 Å, intensity 100, (0 0 3)
- d = 4.665 Å, intensity 76, (1 1 -1)
- d = 3.101 Å, intensity 67, (-1 2 1)
- d = 2.833 Å, intensity 60, (2 1 0)
- d = 4.702 Å, intensity 57, (1 -1 1)
- d = 3.400 Å, intensity 53, (1 2 -1)
- d = 2.789 Å, intensity 49, (0 2 2)
- d = 2.724 Å, intensity 46, (0 3 0)
- d = 5.319 Å, intensity 34, (1 0 -1)
- d = 3.705 Å, intensity 34, (1 -1 2)

a b c (Å): 6.1729 8.4578 9.9824
angles (deg): 104.61 92.31 92.33
Space group P-1 (No. 2)
Symmetry-distinct sites (fractional):
Cu: 0.0000 0.0000 0.0000 x1
Cu: 0.1508 0.6189 0.9433 x2
Cu: 0.1954 0.6122 0.3716 x2
Cu: 0.5000 0.0000 0.5000 x1
P: 0.0256 0.7386 0.6798 x2
P: 0.2317 0.9655 0.2742 x2
P: 0.3190 0.3126 0.6836 x2
P: 0.3426 0.2944 0.9855 x2
O: 0.0402 0.0836 0.3313 x2
O: 0.1022 0.3958 0.7142 x2
O: 0.1046 0.7773 0.8367 x2
O: 0.1609 0.4249 0.0249 x2
O: 0.1610 0.8808 0.1234 x2
O: 0.1762 0.3778 0.3552 x2
O: 0.2071 0.6907 0.5821 x2
O: 0.2448 0.8456 0.3703 x2
O: 0.2623 0.1271 0.9947 x2
O: 0.2818 0.1428 0.5845 x2
O: 0.4051 0.2865 0.8318 x2
O: 0.4495 0.0622 0.3086 x2
O: 0.4538 0.6389 0.9230 x2
O: 0.4941 0.4212 0.6453 x2


(3)
The following is a theoretical powder diffractogram of CuP3O9. It was derived from the PBE geometry in the Materials Project, using Cu Kα (λ = 1.5418 Å).
Peak positions follow from Bragg's law for the DFT cell and can differ from measured ones.

Largest 10 diffraction maxima, by intensity, 2θ from 15° to 90°:
- d = 3.057 Å, intensity 100, (2 1 -3)
- d = 4.646 Å, intensity 47, (1 1 -2)
- d = 2.672 Å, intensity 37, (2 -2 2)
- d = 3.993 Å, intensity 34, (2 0 0)
- d = 3.436 Å, intensity 32, (1 -1 2)
- d = 4.801 Å, intensity 30, (1 1 0)
- d = 4.146 Å, intensity 30, (0 2 0)
- d = 2.935 Å, intensity 28, (3 -1 0)
- d = 3.649 Å, intensity 24, (-1 2 1)
- d = 5.712 Å, intensity 22, (-1 1 1)

a b c (Å): 9.6412 9.6784 9.7390
angles (deg): 107.83 113.02 105.20
Space group P-1 (No. 2)
Symmetry-distinct sites (fractional):
Cu: 0.2095 0.2917 0.3882 x2
Cu: 0.2668 0.2170 0.7654 x2
P: 0.0664 0.9101 0.1923 x2
P: 0.1039 0.8557 0.4869 x2
P: 0.1616 0.7956 0.9310 x2
P: 0.2884 0.6604 0.5445 x2
P: 0.3517 0.5976 0.9935 x2
P: 0.4150 0.5769 0.3182 x2
O: 0.0115 0.7481 0.7638 x2
O: 0.0762 0.1798 0.5612 x2
O: 0.1100 0.7972 0.0704 x2
O: 0.1167 0.1469 0.8802 x2
O: 0.1263 0.6995 0.4909 x2
O: 0.1400 0.8619 0.3423 x2
O: 0.1813 0.0833 0.2513 x2
O: 0.2003 0.6384 0.9049 x2
O: 0.2249 0.4889 0.5246 x2
O: 0.2386 0.0013 0.6528 x2
O: 0.3072 0.9429 0.9866 x2
O: 0.3184 0.4416 0.8629 x2
O: 0.3222 0.6650 0.3958 x2
O: 0.3240 0.5744 0.1383 x2
O: 0.3659 0.4121 0.3038 x2
O: 0.3994 0.3080 0.5913 x2
O: 0.4273 0.7811 0.7155 x2
O: 0.4843 0.2588 0.9322 x2